No. 1
Calculated X-ray powder pattern
Compound: YEr2TmO6
Radiation: Cu Kα
Structure: a structure optimized by DFT (GGA-PBE)

```
data_YEr2TmO6
_space_group_name_H-M_alt 'R 3'
_space_group_IT_number 146
_space_group_name_Hall 'R 3'
_cell_length_a 5.7542
_cell_length_b 5.7542
_cell_length_c 15.0811
_cell_angle_alpha 90.00
_cell_angle_beta 90.00
_cell_angle_gamma 120.00
loop_
_atom_site_label
_atom_site_fract_x
_atom_site_fract_y
_atom_site_fract_z
Y1 0.0000 0.0000 0.0000
Er1 0.0000 0.0000 0.2163
Er2 0.0000 0.0000 0.7176
Tm1 0.0000 0.0000 0.5024
O1 0.0011 0.2965 0.1101
O2 0.0451 0.6714 0.2757
```

Principal peaks in the range 2θ = 5–70°, sorted by position:
(hkl)  two_theta  I (rel.)
0 1 2  21.4  22
1 0 4  29.7  100
1 1 0  31.1  97
0 2 4  43.5  41
1 1 6  48.1  32
0 1 8  51.9  12
2 1 4  54.5  41
3 0 0  55.3  28
1 0 10  64.6  12
2 2 0  64.8  13


No. 2
Calculated X-ray powder pattern
Compound: Pm7Sm6Dy16
Radiation: Cu Kα
Structure: a structure optimized by DFT (GGA-PBE)

```
data_Pm7Sm6Dy16
_space_group_name_H-M_alt 'F m -3 m'
_space_group_IT_number 225
_space_group_name_Hall '-F 4 2 3'
_cell_length_a 15.884
_cell_length_b 15.884
_cell_length_c 15.884
_cell_angle_alpha 90.00
_cell_angle_beta 90.00
_cell_angle_gamma 90.00
loop_
_atom_site_label
_atom_site_fract_x
_atom_site_fract_y
_atom_site_fract_z
Pm1 0.000 0.000 0.000
Pm2 0.000 0.250 0.250
Sm1 0.000 0.000 0.265
Dy1 0.128 0.128 0.128
Dy2 0.150 0.150 0.350
```

Principal peaks in the range 2θ = 5–70°, sorted by position:
(hkl)  two_theta  I (rel.)
4 2 0  25.1  6
4 2 2  27.5  6
3 3 3  29.2  8
4 4 0  31.9  100
5 3 1  33.4  5
6 0 0  33.9  6
6 2 0  35.8  5
8 0 0  45.7  14
8 4 4  56.8  27
8 8 0  66.6  7


No. 3
Calculated X-ray powder pattern
Compound: Ho5CdHg3
Radiation: Cu Kα
Structure: a structure optimized by DFT (GGA-PBE)

```
data_Ho5CdHg3
_space_group_name_H-M_alt 'P 63/m c m'
_space_group_IT_number 193
_space_group_name_Hall '-P 6c 2'
_cell_length_a 9.1079
_cell_length_b 9.1079
_cell_length_c 6.6127
_cell_angle_alpha 90.00
_cell_angle_beta 90.00
_cell_angle_gamma 120.00
loop_
_atom_site_label
_atom_site_fract_x
_atom_site_fract_y
_atom_site_fract_z
Ho1 0.0000 0.2980 0.2500
Ho2 0.3333 0.6667 0.0000
Cd1 0.0000 0.0000 0.0000
Hg1 0.0000 0.3704 0.7500
```

Principal peaks in the range 2θ = 5–70°, sorted by position:
(hkl)  two_theta  I (rel.)
0 0 2  27.0  13
2 1 1  33.0  27
1 1 2  33.5  100
3 0 0  34.1  97
3 1 1  43.6  13
3 0 2  44.0  12
2 2 2  48.5  29
4 1 2  60.7  26
4 2 1  64.0  12
3 0 4  66.9  30


No. 4
Calculated X-ray powder pattern
Compound: NaBiS3
Radiation: Cu Kα
Structure: a structure optimized by DFT (GGA-PBE)

```
data_NaBiS3
_space_group_name_H-M_alt 'R -3'
_space_group_IT_number 148
_space_group_name_Hall '-R 3'
_cell_length_a 6.8184
_cell_length_b 6.8184
_cell_length_c 19.7313
_cell_angle_alpha 90.00
_cell_angle_beta 90.00
_cell_angle_gamma 120.00
loop_
_atom_site_label
_atom_site_fract_x
_atom_site_fract_y
_atom_site_fract_z
Na1 0.0000 0.0000 0.1379
Bi1 0.0000 0.0000 0.3439
S1 0.0251 0.6342 0.9200
```

Principal peaks in the range 2θ = 5–70°, sorted by position:
(hkl)  two_theta  I (rel.)
0 0 3  13.5  94
1 0 1  15.7  67
0 1 2  17.5  45
1 0 4  23.5  55
1 1 0  26.1  60
2 -1 3  29.5  100
0 2 4  35.4  31
2 -1 6  38.0  85
3 -1 4  44.6  29
3 0 0  46.1  35


No. 5
Calculated X-ray powder pattern
Compound: Bi4I2O5
Radiation: Cu Kα
Structure: a structure optimized by DFT (GGA-PBE)

```
data_Bi4I2O5
_space_group_name_H-M_alt 'P 1 21 1'
_space_group_IT_number 4
_cell_length_a 11.496
_cell_length_b 5.817
_cell_length_c 15.210
_cell_angle_alpha 90.00
_cell_angle_beta 100.30
_cell_angle_gamma 90.00
loop_
_space_group_symop_operation_xyz
'x,y,z'
'-x,y+1/2,-z'
loop_
_atom_site_label
_atom_site_fract_x
_atom_site_fract_y
_atom_site_fract_z
Bi1 0.072 0.000 0.215
Bi2 0.090 0.973 0.960
Bi3 0.128 0.095 0.703
Bi4 0.230 0.532 0.116
Bi5 0.235 0.575 0.365
Bi6 0.273 0.595 0.853
Bi7 0.406 0.083 0.295
Bi8 0.426 0.088 0.539
I1 0.111 0.120 0.444
I2 0.276 0.598 0.616
I3 0.380 0.107 0.051
I4 0.442 0.094 0.776
O1 0.054 0.647 0.286
O2 0.078 0.792 0.094
O3 0.079 0.290 0.087
O4 0.138 0.352 0.805
O5 0.139 0.851 0.810
O6 0.189 0.628 0.967
O7 0.252 0.321 0.260
O8 0.257 0.833 0.256
O9 0.422 0.847 0.419
O10 0.424 0.329 0.420
```

Principal peaks in the range 2θ = 5–70°, sorted by position:
(hkl)  two_theta  I (rel.)
1 0 -1  8.9  12
1 1 -4  28.2  100
0 2 0  30.7  17
2 0 4  30.9  21
4 0 -4  36.2  8
2 2 4  44.2  15
6 0 0  48.2  10
1 3 -4  53.1  10
5 1 4  53.3  7
1 1 8  53.4  9


No. 6
Calculated X-ray powder pattern
Compound: HfNp4
Radiation: Cu Kα
Structure: a structure optimized by DFT (GGA-PBE)

```
data_HfNp4
_space_group_name_H-M_alt 'P m -3 m'
_space_group_IT_number 221
_space_group_name_Hall '-P 4 2 3'
_cell_length_a 5.370
_cell_length_b 5.370
_cell_length_c 5.370
_cell_angle_alpha 90.00
_cell_angle_beta 90.00
_cell_angle_gamma 90.00
loop_
_atom_site_label
_atom_site_fract_x
_atom_site_fract_y
_atom_site_fract_z
Hf1 0.000 0.000 0.000
Np1 0.000 0.000 0.500
Np2 0.500 0.500 0.500
```

Principal peaks in the range 2θ = 5–70°, sorted by position:
(hkl)  two_theta  I (rel.)
1 0 0  16.5  14
1 1 0  23.4  13
1 1 1  28.8  90
2 0 0  33.4  100
2 1 0  37.4  8
2 1 1  41.2  6
2 2 0  47.9  74
3 0 0  51.0  4
3 1 1  56.9  42
2 2 2  59.6  26


No. 7
Calculated X-ray powder pattern
Compound: CrNi2Rh
Radiation: Cu Kα
Structure: a structure optimized by DFT (GGA-PBE)

```
data_CrNi2Rh
_space_group_name_H-M_alt 'I -4 m 2'
_space_group_IT_number 119
_space_group_name_Hall 'I -4 -2'
_cell_length_a 3.624
_cell_length_b 3.624
_cell_length_c 7.327
_cell_angle_alpha 90.00
_cell_angle_beta 90.00
_cell_angle_gamma 90.00
loop_
_atom_site_label
_atom_site_fract_x
_atom_site_fract_y
_atom_site_fract_z
Cr1 0.000 0.000 0.000
Ni1 0.000 0.000 0.500
Ni2 0.000 0.500 0.750
Rh1 0.000 0.500 0.250
```

Principal peaks in the range 2θ = 5–70°, sorted by position:
(hkl)  two_theta  I (rel.)
0 0 2  24.3  4
1 0 1  27.5  7
1 1 0  35.0  3
1 1 2  43.1  100
1 0 3  44.7  2
0 0 4  49.8  16
2 0 0  50.4  31
2 0 2  56.7  2
2 1 1  58.3  2
1 1 4  62.3  1


No. 8
Calculated X-ray powder pattern
Compound: PuTl2I5
Radiation: Cu Kα
Structure: a structure optimized by DFT (GGA-PBE)

```
data_PuTl2I5
_space_group_name_H-M_alt 'P n m a'
_space_group_IT_number 62
_cell_length_a 14.542
_cell_length_b 9.705
_cell_length_c 9.145
_cell_angle_alpha 90.00
_cell_angle_beta 90.00
_cell_angle_gamma 90.00
loop_
_space_group_symop_operation_xyz
'x,y,z'
'-x,-y,-z'
'-x+1/2,-y,z+1/2'
'x+1/2,y,-z+1/2'
'x+1/2,-y+1/2,-z+1/2'
'-x+1/2,y+1/2,z+1/2'
'-x,y+1/2,-z'
'x,-y+1/2,z'
loop_
_atom_site_label
_atom_site_fract_x
_atom_site_fract_y
_atom_site_fract_z
Pu1 0.002 0.250 0.068
Tl1 0.173 0.001 0.557
I1 0.005 0.250 0.428
I2 0.081 0.542 0.167
I3 0.183 0.250 0.874
I4 0.207 0.750 0.839
```

Principal peaks in the range 2θ = 5–70°, sorted by position:
(hkl)  two_theta  I (rel.)
3 0 1  20.7  38
1 2 1  21.6  32
4 0 1  26.4  51
1 2 2  27.5  100
3 2 1  27.8  55
2 2 2  29.5  71
4 2 0  30.7  61
2 1 3  33.2  32
0 4 0  37.0  57
5 2 1  37.4  49


No. 9
Calculated X-ray powder pattern
Compound: Tb3In4Pt4
Radiation: Cu Kα
Structure: a structure optimized by DFT (GGA-PBE)

```
data_Tb3In4Pt4
_space_group_name_H-M_alt 'I m m m'
_space_group_IT_number 71
_space_group_name_Hall '-I 2 2'
_cell_length_a 3.828
_cell_length_b 8.029
_cell_length_c 15.866
_cell_angle_alpha 90.00
_cell_angle_beta 90.00
_cell_angle_gamma 90.00
loop_
_atom_site_label
_atom_site_fract_x
_atom_site_fract_y
_atom_site_fract_z
Tb1 0.000 0.000 0.000
Tb2 0.000 0.500 0.109
In1 0.000 0.304 0.332
Pt1 0.000 0.000 0.242
Pt2 0.000 0.203 0.500
```

Principal peaks in the range 2θ = 5–70°, sorted by position:
(hkl)  two_theta  I (rel.)
0 1 5  30.3  19
1 2 1  32.8  94
1 1 4  34.4  100
1 0 5  36.8  19
0 3 3  37.7  34
0 2 6  40.9  35
1 3 2  42.8  34
2 0 0  47.5  29
2 2 6  64.4  18
1 5 4  67.5  28


No. 10
Calculated X-ray powder pattern
Compound: KTl7
Radiation: Cu Kα
Structure: a structure optimized by DFT (GGA-PBE)

```
data_KTl7
_space_group_name_H-M_alt 'F m -3 m'
_space_group_IT_number 225
_space_group_name_Hall '-F 4 2 3'
_cell_length_a 10.026
_cell_length_b 10.026
_cell_length_c 10.026
_cell_angle_alpha 90.00
_cell_angle_beta 90.00
_cell_angle_gamma 90.00
loop_
_atom_site_label
_atom_site_fract_x
_atom_site_fract_y
_atom_site_fract_z
K1 0.000 0.000 0.000
Tl1 0.000 0.000 0.500
Tl2 0.000 0.250 0.250
```

Principal peaks in the range 2θ = 5–70°, sorted by position:
(hkl)  two_theta  I (rel.)
1 1 1  15.3  6
2 0 0  17.7  3
2 2 0  25.1  3
3 1 1  29.6  4
2 2 2  30.9  100
4 0 0  35.8  51
3 3 1  39.2  2
4 4 0  51.6  37
6 2 2  61.3  44
4 4 4  64.4  13


No. 11
Calculated X-ray powder pattern
Compound: Li3Sm2Cu12Pd
Radiation: Cu Kα
Structure: a structure optimized by DFT (GGA-PBE)

```
data_Li3Sm2Cu12Pd
_space_group_name_H-M_alt 'R -3 m'
_space_group_IT_number 166
_space_group_name_Hall '-R 3 2"'
_cell_length_a 8.7899
_cell_length_b 8.7899
_cell_length_c 12.3459
_cell_angle_alpha 90.00
_cell_angle_beta 90.00
_cell_angle_gamma 120.00
loop_
_atom_site_label
_atom_site_fract_x
_atom_site_fract_y
_atom_site_fract_z
Li1 0.0000 0.5000 0.0000
Sm1 0.0000 0.0000 0.2218
Cu1 0.0144 0.5072 0.2103
Cu2 0.0514 0.5257 0.5989
Pd1 0.0000 0.0000 0.5000
```

Principal peaks in the range 2θ = 5–70°, sorted by position:
(hkl)  two_theta  I (rel.)
0 0 3  21.6  24
0 2 1  24.5  18
2 0 2  27.5  36
1 0 4  31.3  19
1 2 2  34.4  19
2 2 0  41.1  100
0 3 3  41.8  20
2 1 4  43.0  23
2 0 5  43.7  54
2 2 3  46.9  20


No. 12
Calculated X-ray powder pattern
Compound: Pr2Sm3Tm2
Radiation: Cu Kα
Structure: a structure optimized by DFT (GGA-PBE)

```
data_Pr2Sm3Tm2
_space_group_name_H-M_alt 'I m m m'
_space_group_IT_number 71
_space_group_name_Hall '-I 2 2'
_cell_length_a 3.571
_cell_length_b 5.786
_cell_length_c 22.996
_cell_angle_alpha 90.00
_cell_angle_beta 90.00
_cell_angle_gamma 90.00
loop_
_atom_site_label
_atom_site_fract_x
_atom_site_fract_y
_atom_site_fract_z
Pr1 0.000 0.000 0.085
Sm1 0.000 0.500 0.000
Sm2 0.000 0.500 0.274
Tm1 0.000 0.000 0.363
```

Principal peaks in the range 2θ = 5–70°, sorted by position:
(hkl)  two_theta  I (rel.)
1 0 3  27.6  33
0 2 0  30.9  46
0 1 7  31.3  73
1 1 4  33.4  100
1 2 3  41.9  22
1 0 11  50.6  22
0 3 7  55.2  15
1 3 4  56.5  22
1 2 11  60.5  26
2 1 7  61.2  22